Record 1
This entry pairs a crystal structure of Ca2H6Ru with its computed powder XRD pattern. Radiation: a wavelength of 1.5418 Å. Structure: a cell relaxed with GGA-PBE.
Intensities are scaled so that the largest is 100.

Cell and atoms:
```
data_Ca2H6Ru
_symmetry_space_group_name_H-M 'F m -3 m'
_symmetry_Int_Tables_number 225
_symmetry_space_group_name_Hall '-F 4 2 3'
_cell_length_a 7.2185
_cell_length_b 7.2185
_cell_length_c 7.2185
_cell_angle_alpha 90.00
_cell_angle_beta 90.00
_cell_angle_gamma 90.00
loop_
_atom_site_label
_atom_site_type_symbol
_atom_site_fract_x
_atom_site_fract_y
_atom_site_fract_z
_atom_site_occupancy
Ca1 Ca 0.2500 0.2500 0.2500 1
H1 H 0.0000 0.0000 0.2376 1
Ru1 Ru 0.0000 0.0000 0.0000 1
```

Principal peaks in the range 10 to 90 degrees two-theta, most intense first:
d = 2.552 Å, 35.16°, I 100, hkl 2 2 0; d = 4.168 Å, 21.32°, I 78, hkl 1 1 1; d = 2.176 Å, 41.49°, I 39, hkl 3 1 1; d = 1.473 Å, 63.09°, I 34, hkl 4 2 2; d = 1.805 Å, 50.58°, I 18, hkl 4 0 0; d = 1.656 Å, 55.49°, I 16, hkl 3 3 1; d = 1.141 Å, 84.98°, I 14, hkl 6 2 0; d = 1.389 Å, 67.41°, I 12, hkl 5 1 1; d = 1.220 Å, 78.37°, I 12, hkl 5 3 1; d = 1.276 Å, 74.33°, I 11, hkl 4 4 0; d = 1.101 Å, 88.91°, I 4, hkl 5 3 3; d = 3.609 Å, 24.67°, I 2, hkl 2 0 0

Record 2
This entry pairs a crystal structure of Ca5Sn3H with its computed powder XRD pattern. Radiation: a wavelength of 1.5418 Å. Structure: a cell relaxed with GGA-PBE.
Intensities are scaled so that the largest is 100.

Cell and atoms:
```
data_Ca5Sn3H
_symmetry_space_group_name_H-M 'I 4/m c m'
_symmetry_Int_Tables_number 140
_symmetry_space_group_name_Hall '-I 4 2c'
_cell_length_a 8.1905
_cell_length_b 8.1905
_cell_length_c 14.9480
_cell_angle_alpha 90.00
_cell_angle_beta 90.00
_cell_angle_gamma 90.00
loop_
_atom_site_label
_atom_site_type_symbol
_atom_site_fract_x
_atom_site_fract_y
_atom_site_fract_z
_atom_site_occupancy
Ca1 Ca 0.0000 0.0000 0.0000 1
Ca2 Ca 0.1622 0.3378 0.1521 1
Sn1 Sn 0.0000 0.0000 0.2500 1
Sn2 Sn 0.1273 0.3727 0.5000 1
H1 H 0.0000 0.5000 0.2500 1
```

Principal peaks in the range 10 to 90 degrees two-theta, most intense first:
d = 2.951 Å, 30.28°, I 100, hkl 2 1 3; d = 2.590 Å, 34.63°, I 55, hkl 3 1 0; d = 4.578 Å, 19.39°, I 51, hkl 1 1 2; d = 2.129 Å, 42.47°, I 27, hkl 3 1 4; d = 2.760 Å, 32.43°, I 22, hkl 2 0 4; d = 2.289 Å, 39.37°, I 21, hkl 1 1 6; d = 3.737 Å, 23.81°, I 19, hkl 0 0 4; d = 3.558 Å, 25.03°, I 17, hkl 2 1 1; d = 1.515 Å, 61.17°, I 16, hkl 3 1 8; d = 2.316 Å, 38.88°, I 16, hkl 2 1 5; d = 1.975 Å, 45.96°, I 16, hkl 4 0 2; d = 1.582 Å, 58.33°, I 15, hkl 4 0 6